Simulated powder X-ray diffraction pattern of NaSnH for λ = 1.5418 Å (Cu Kα), from a structure optimized by DFT (GGA-PBE).
Neutral-atom scattering factors, no anomalous dispersion.

Top 10 peaks for 5° ≤ 2θ ≤ 70°, by intensity:
- 4.652 Å, 2θ = 19.1°, I = 100
- 3.215 Å, 2θ = 27.7°, I = 76
- 2.539 Å, 2θ = 35.3°, I = 66
- 2.530 Å, 2θ = 35.5°, I = 45
- 3.541 Å, 2θ = 25.1°, I = 44
- 5.824 Å, 2θ = 15.2°, I = 41
- 2.438 Å, 2θ = 36.9°, I = 39
- 2.011 Å, 2θ = 45.1°, I = 23
- 2.230 Å, 2θ = 40.4°, I = 22
- 2.057 Å, 2θ = 44.0°, I = 17

Structure:
Cell lengths 5.069, 4.461, 6.336 Å; angles 90.00, 113.19, 90.00 degrees
Element x y z (fractional)
Na 0.000 0.000 0.000
Na 0.229 0.500 0.572
Sn 0.601 0.500 0.130
Sn 0.651 0.000 0.447
H 0.216 0.500 0.952
H 0.279 0.000 0.440

***

Simulated powder X-ray diffraction pattern of Na5SrH7 for λ = 1.5418 Å (Cu Kα), from a structure optimized by DFT (GGA-PBE).
Neutral-atom scattering factors, no anomalous dispersion.

Top 10 peaks for 5° ≤ 2θ ≤ 70°, by intensity:
- 2.946 Å, 2θ = 30.3°, I = 100
- 2.787 Å, 2θ = 32.1°, I = 77
- 2.458 Å, 2θ = 36.6°, I = 69
- 9.639 Å, 2θ = 9.2°, I = 63
- 2.772 Å, 2θ = 32.3°, I = 50
- 4.835 Å, 2θ = 18.4°, I = 49
- 2.731 Å, 2θ = 32.8°, I = 46
- 3.266 Å, 2θ = 27.3°, I = 44
- 3.176 Å, 2θ = 28.1°, I = 37
- 2.364 Å, 2θ = 38.1°, I = 37

Structure:
Cell lengths 3.470, 19.278, 5.865 Å; angles 90.00, 107.19, 90.00 degrees
Element x y z (fractional)
Na 0.000 0.000 0.000
Na 0.000 0.500 0.000
Na 0.278 0.074 0.553
Na 0.278 0.426 0.553
Na 0.451 0.649 0.907
Na 0.451 0.851 0.907
Na 0.549 0.149 0.093
Na 0.549 0.351 0.093
Na 0.722 0.574 0.447
Na 0.722 0.926 0.447
Sr 0.192 0.750 0.386
Sr 0.808 0.250 0.614
H 0.091 0.617 0.185
H 0.091 0.883 0.185
H 0.197 0.180 0.392
H 0.197 0.320 0.392
H 0.365 0.536 0.731
H 0.365 0.964 0.731
H 0.457 0.250 0.911
H 0.543 0.750 0.089
H 0.635 0.036 0.269
H 0.635 0.464 0.269
H 0.803 0.680 0.608
H 0.803 0.820 0.608
H 0.909 0.117 0.815
H 0.909 0.383 0.815

***

Simulated powder X-ray diffraction pattern of Na2TcH6 for λ = 1.5418 Å (Cu Kα), from a structure optimized by DFT (GGA-PBE).
Neutral-atom scattering factors, no anomalous dispersion.

Top 10 peaks for 5° ≤ 2θ ≤ 70°, by intensity:
- 4.789 Å, 2θ = 18.5°, I = 100
- 2.836 Å, 2θ = 31.6°, I = 93
- 2.655 Å, 2θ = 33.8°, I = 77
- 4.976 Å, 2θ = 17.8°, I = 52
- 1.732 Å, 2θ = 52.9°, I = 43
- 2.240 Å, 2θ = 40.3°, I = 43
- 2.732 Å, 2θ = 32.8°, I = 38
- 2.905 Å, 2θ = 30.8°, I = 27
- 2.342 Å, 2θ = 38.4°, I = 26
- 1.990 Å, 2θ = 45.6°, I = 17

Structure:
Cell lengths 5.874, 5.874, 3.037 Å; angles 104.88, 104.88, 55.43 degrees
Element x y z (fractional)
Na 0.169 0.169 0.168
Na 0.831 0.831 0.832
Tc 0.500 0.500 0.500
H 0.156 0.580 0.369
H 0.317 0.683 0.000
H 0.420 0.844 0.631
H 0.580 0.156 0.369
H 0.683 0.317 0.000
H 0.844 0.420 0.631

***

Simulated powder X-ray diffraction pattern of Na4TcH6 for λ = 1.5418 Å (Cu Kα), from a structure optimized by DFT (GGA-PBE).
Neutral-atom scattering factors, no anomalous dispersion.

Top 10 peaks for 5° ≤ 2θ ≤ 70°, by intensity:
- 4.814 Å, 2θ = 18.4°, I = 100
- 2.612 Å, 2θ = 34.3°, I = 95
- 5.132 Å, 2θ = 17.3°, I = 78
- 4.192 Å, 2θ = 21.2°, I = 51
- 2.706 Å, 2θ = 33.1°, I = 50
- 2.566 Å, 2θ = 35.0°, I = 45
- 2.417 Å, 2θ = 37.2°, I = 45
- 2.371 Å, 2θ = 37.9°, I = 42
- 4.320 Å, 2θ = 20.6°, I = 28
- 3.952 Å, 2θ = 22.5°, I = 23

Structure:
Cell lengths 6.185, 6.185, 9.072 Å; angles 105.42, 105.42, 58.77 degrees
Element x y z (fractional)
Na 0.003 0.997 0.500
Na 0.052 0.421 0.794
Na 0.421 0.052 0.294
Na 0.440 0.565 0.767
Na 0.565 0.440 0.267
Na 0.590 0.922 0.645
Na 0.922 0.590 0.145
Na 0.997 0.003 0.000
Tc 0.041 0.475 0.476
Tc 0.475 0.041 0.976
H 0.012 0.229 0.330
H 0.025 0.704 0.646
H 0.183 0.587 0.387
H 0.229 0.012 0.830
H 0.288 0.373 0.038
H 0.373 0.288 0.538
H 0.456 0.807 0.046
H 0.587 0.183 0.887
H 0.704 0.025 0.146
H 0.712 0.763 0.881
H 0.763 0.712 0.381
H 0.807 0.456 0.546

***

Simulated powder X-ray diffraction pattern of Na2TeH for λ = 1.5418 Å (Cu Kα), from a structure optimized by DFT (GGA-PBE).
Neutral-atom scattering factors, no anomalous dispersion.

Top 10 peaks for 5° ≤ 2θ ≤ 70°, by intensity:
- 5.421 Å, 2θ = 16.4°, I = 100
- 2.761 Å, 2θ = 32.4°, I = 68
- 2.424 Å, 2θ = 37.1°, I = 54
- 3.833 Å, 2θ = 23.2°, I = 51
- 2.460 Å, 2θ = 36.5°, I = 48
- 2.711 Å, 2θ = 33.0°, I = 27
- 1.934 Å, 2θ = 47.0°, I = 22
- 2.071 Å, 2θ = 43.7°, I = 22
- 1.645 Å, 2θ = 55.9°, I = 20
- 1.574 Å, 2θ = 58.6°, I = 17

Structure:
Cell lengths 7.667, 7.667, 3.208 Å; angles 90.00, 90.00, 90.00 degrees
Element x y z (fractional)
Na 0.147 0.353 0.000
Na 0.353 0.853 0.000
Na 0.647 0.147 0.000
Na 0.853 0.647 0.000
Te 0.000 0.000 0.500
Te 0.500 0.500 0.500
H 0.000 0.500 0.500
H 0.500 0.000 0.500

***

Simulated powder X-ray diffraction pattern of NaTeH2 for λ = 1.5418 Å (Cu Kα), from a structure optimized by DFT (GGA-PBE).
Neutral-atom scattering factors, no anomalous dispersion.

Top 10 peaks for 5° ≤ 2θ ≤ 70°, by intensity:
- 3.937 Å, 2θ = 22.6°, I = 100
- 4.308 Å, 2θ = 20.6°, I = 93
- 2.452 Å, 2θ = 36.7°, I = 60
- 3.000 Å, 2θ = 29.8°, I = 31
- 2.390 Å, 2θ = 37.6°, I = 31
- 4.026 Å, 2θ = 22.1°, I = 28
- 2.327 Å, 2θ = 38.7°, I = 25
- 3.762 Å, 2θ = 23.7°, I = 24
- 2.552 Å, 2θ = 35.2°, I = 20
- 1.951 Å, 2θ = 46.6°, I = 17

Structure:
Cell lengths 4.909, 4.909, 8.158 Å; angles 97.17, 97.17, 78.14 degrees
Element x y z (fractional)
Na 0.000 0.000 0.000
Na 0.885 0.115 0.500
Te 0.432 0.065 0.759
Te 0.935 0.568 0.241
H 0.385 0.406 0.832
H 0.445 0.479 0.525
H 0.521 0.555 0.475
H 0.594 0.615 0.168

***

Simulated powder X-ray diffraction pattern of NaTeH4 for λ = 1.5418 Å (Cu Kα), from a structure optimized by DFT (GGA-PBE).
Neutral-atom scattering factors, no anomalous dispersion.

Top 10 peaks for 5° ≤ 2θ ≤ 70°, by intensity:
- 3.230 Å, 2θ = 27.6°, I = 100
- 3.009 Å, 2θ = 29.7°, I = 81
- 4.675 Å, 2θ = 19.0°, I = 61
- 4.804 Å, 2θ = 18.5°, I = 56
- 2.980 Å, 2θ = 30.0°, I = 36
- 2.625 Å, 2θ = 34.2°, I = 26
- 3.168 Å, 2θ = 28.2°, I = 25
- 1.970 Å, 2θ = 46.1°, I = 25
- 2.541 Å, 2θ = 35.3°, I = 24
- 1.933 Å, 2θ = 47.0°, I = 23

Structure:
Cell lengths 6.905, 6.905, 5.106 Å; angles 109.42, 109.42, 119.33 degrees
Element x y z (fractional)
Na 0.123 0.877 0.750
Na 0.877 0.123 0.250
Te 0.370 0.630 0.250
Te 0.630 0.370 0.750
H 0.074 0.564 0.283
H 0.271 0.301 0.210
H 0.301 0.271 0.710
H 0.436 0.926 0.217
H 0.564 0.074 0.783
H 0.699 0.729 0.290
H 0.729 0.699 0.790
H 0.926 0.436 0.717

***

Simulated powder X-ray diffraction pattern of NaZnH2 for λ = 1.5418 Å (Cu Kα), from a structure optimized by DFT (GGA-PBE).
Neutral-atom scattering factors, no anomalous dispersion.

Top 10 peaks for 5° ≤ 2θ ≤ 70°, by intensity:
- 3.118 Å, 2θ = 28.6°, I = 100
- 5.141 Å, 2θ = 17.2°, I = 97
- 2.782 Å, 2θ = 32.2°, I = 96
- 4.039 Å, 2θ = 22.0°, I = 86
- 2.634 Å, 2θ = 34.0°, I = 76
- 2.235 Å, 2θ = 40.3°, I = 59
- 2.570 Å, 2θ = 34.9°, I = 49
- 2.306 Å, 2θ = 39.1°, I = 38
- 2.195 Å, 2θ = 41.1°, I = 32
- 3.238 Å, 2θ = 27.5°, I = 31

Structure:
Cell lengths 5.160, 4.528, 8.975 Å; angles 90.00, 94.93, 90.00 degrees
Element x y z (fractional)
Na 0.047 0.223 0.371
Na 0.047 0.277 0.871
Na 0.953 0.723 0.129
Na 0.953 0.777 0.629
Zn 0.440 0.105 0.121
Zn 0.440 0.395 0.621
Zn 0.560 0.605 0.379
Zn 0.560 0.895 0.879
H 0.132 0.248 0.624
H 0.132 0.252 0.124
H 0.373 0.650 0.768
H 0.373 0.850 0.268
H 0.627 0.150 0.732
H 0.627 0.350 0.232
H 0.868 0.748 0.876
H 0.868 0.752 0.376

***

Simulated powder X-ray diffraction pattern of Nb5H4 for λ = 1.5418 Å (Cu Kα), from a structure optimized by DFT (GGA-PBE).
Neutral-atom scattering factors, no anomalous dispersion.

Top 6 peaks for 5° ≤ 2θ ≤ 70°, by intensity:
- 2.444 Å, 2θ = 36.8°, I = 100
- 2.432 Å, 2θ = 37.0°, I = 50
- 1.406 Å, 2θ = 66.5°, I = 34
- 1.413 Å, 2θ = 66.1°, I = 17
- 1.719 Å, 2θ = 53.3°, I = 17
- 1.737 Å, 2θ = 52.7°, I = 9

Structure:
Cell lengths 5.708, 5.708, 5.708 Å; angles 95.31, 95.31, 144.56 degrees
Element x y z (fractional)
Nb 0.000 0.000 0.000
Nb 0.201 0.600 0.801
Nb 0.400 0.201 0.601
Nb 0.600 0.799 0.399
Nb 0.799 0.400 0.199
H 0.003 0.252 0.255
H 0.252 0.997 0.249
H 0.748 0.003 0.751
H 0.997 0.748 0.745

***

Simulated powder X-ray diffraction pattern of Nb5H6 for λ = 1.5418 Å (Cu Kα), from a structure optimized by DFT (GGA-PBE).
Neutral-atom scattering factors, no anomalous dispersion.

Top 10 peaks for 5° ≤ 2θ ≤ 70°, by intensity:
- 2.525 Å, 2θ = 35.6°, I = 100
- 2.486 Å, 2θ = 36.1°, I = 93
- 2.442 Å, 2θ = 36.8°, I = 46
- 2.401 Å, 2θ = 37.5°, I = 43
- 1.425 Å, 2θ = 65.5°, I = 16
- 1.714 Å, 2θ = 53.5°, I = 16
- 1.711 Å, 2θ = 53.6°, I = 16
- 1.416 Å, 2θ = 66.0°, I = 16
- 1.838 Å, 2θ = 49.6°, I = 15
- 1.475 Å, 2θ = 63.0°, I = 8

Structure:
Cell lengths 2.993, 4.884, 7.783 Å; angles 71.73, 86.28, 89.85 degrees
Element x y z (fractional)
Nb 0.000 0.000 0.000
Nb 0.248 0.809 0.382
Nb 0.367 0.596 0.807
Nb 0.633 0.404 0.193
Nb 0.752 0.191 0.618
H 0.256 0.459 0.605
H 0.258 0.936 0.605
H 0.499 0.253 0.000
H 0.501 0.747 0.000
H 0.742 0.064 0.395
H 0.744 0.541 0.395